Calculated X-ray powder pattern
Compound: AcGa2Ag8
Radiation: Cu Kα
Structure: the GGA-PBE geometry in Alexandria
Lines closer than 0.1° are merged.

Crystal structure
```
AcGa2Ag8
1.0
5.595 0.000 0.000
0.000 5.595 0.000
0.000 0.000 8.968
Ac Ga Ag
1 2 8
Direct
0.000 0.000 0.000
0.000 0.500 0.500
0.500 0.000 0.500
0.253 0.253 0.291
0.253 0.253 0.709
0.253 0.747 0.291
0.253 0.747 0.709
0.747 0.253 0.291
0.747 0.253 0.709
0.747 0.747 0.291
0.747 0.747 0.709
```

Main lines, by angle (2θ = 10–80°):
hkl	Position (°2θ)	Rel. int.
1 0 1	18.7	22
0 0 2	19.8	18
1 1 1	24.6	31
0 0 3	29.9	18
2 0 0	32.0	17
2 0 2	37.9	100
2 0 3	44.3	14
2 2 0	45.9	35
2 0 5	61.4	15
4 2 2	79.5	22